[1]
Starting from a structure optimized by DFT (GGA-PBE), the X-ray diffraction stick pattern of RbTe was simulated for Cu Kα (λ = 1.5418 Å).
Kinematic intensities with the Lorentz-polarization factor, no thermal factor.

Largest 6 diffraction maxima, sorted by position, 10 to 90 degrees two-theta:
- 2θ = 17.5°, rel. 59, (1 1 0)
- 2θ = 22.2°, rel. 58, (1 1 1)
- 2θ = 30.6°, rel. 100, (3 0 0)
- 2θ = 32.5°, rel. 95, (1 1 2)
- 2θ = 45.2°, rel. 37, (2 2 2)
- 2θ = 55.6°, rel. 40, (4 1 2)

Atomic structure:
abc: 10.1268 10.1268 6.5613
angles: 90.00 90.00 120.00
Space group P-62m (No. 189)
Inequivalent atoms, fractional coordinates:
Rb 0.0000 0.3446 0.0000
Rb 0.0000 0.6782 0.5000
Te 0.0000 0.0000 0.2160
Te 0.3333 0.6667 0.2831



[2]
Starting from a structure optimized by DFT (GGA-PBE), the X-ray diffraction stick pattern of Rb5ThTe4 was simulated for Cu Kα (λ = 1.5418 Å).
Kinematic intensities with the Lorentz-polarization factor, no thermal factor.

Largest 6 diffraction maxima, sorted by position, 10 to 90 degrees two-theta:
- 2θ = 25.0°, rel. 44, (6 0 0)
- 2θ = 25.5°, rel. 100, (1 1 -2)
- 2θ = 35.1°, rel. 33, (5 1 2)
- 2θ = 36.6°, rel. 21, (0 2 0)
- 2θ = 36.8°, rel. 32, (7 1 -2)
- 2θ = 44.8°, rel. 18, (6 2 0)

Atomic structure:
abc: 21.709 4.917 9.951
angles: 90.00 99.55 90.00
Space group C2/m (No. 12)
Inequivalent atoms, fractional coordinates:
Rb 0.000 0.000 0.000
Rb 0.159 0.500 0.829
Rb 0.179 0.500 0.344
Th 0.000 0.000 0.500
Te 0.008 0.500 0.288
Te 0.145 0.000 0.575